For Sm4ZrIn5, the GGA-PBE geometry in Alexandria gives the theoretical powder diffraction line list in this record (Cu Kα (λ = 1.5418 Å)).

Structural model:
Lattice parameters (Å, degrees): 3.836 3.836 18.287 90.00 90.00 90.00
Element x y z (fractional)
Sm 0.000 0.000 0.104
Sm 0.000 0.000 0.312
Sm 0.000 0.000 0.688
Sm 0.000 0.000 0.896
Zr 0.000 0.000 0.500
In 0.500 0.500 0.000
In 0.500 0.500 0.208
In 0.500 0.500 0.415
In 0.500 0.500 0.585
In 0.500 0.500 0.792

The 10 most intense peaks (10° ≤ 2θ ≤ 90°), most intense first:
| hkl | 2θ (°) | I (rel.) |
| --- | --- | --- |
| 1 0 5 | 33.86 | 100 |
| 1 1 0 | 33.02 | 59 |
| 2 1 5 | 59.52 | 39 |
| 2 0 0 | 47.40 | 21 |
| 1 1 10 | 61.12 | 13 |
| 3 1 0 | 78.92 | 9 |
| 2 0 10 | 71.25 | 8 |
| 3 0 5 | 79.39 | 8 |
| 2 2 0 | 69.28 | 7 |
| 1 0 4 | 30.42 | 6 |